No. 1
# KGaSe2O6
Computed powder diffraction line list, Cu Kα. Input: a DFT-relaxed cell (GGA-PBE, Alexandria).

Main lines, by intensity (10 to 90 degrees two-theta):
31.2 deg, I = 100.0; 13.1 deg, I = 85.3; 26.9 deg, I = 84.5; 16.6 deg, I = 81.9; 33.1 deg, I = 55.1; 29.5 deg, I = 43.9; 23.4 deg, I = 39.5; 36.0 deg, I = 37.4; 39.3 deg, I = 35.4; 39.9 deg, I = 31.2

Cell and atoms:
```
KGaSe2O6
1.0
15.166 0.000 0.000
0.000 5.415 0.000
0.000 0.000 7.552
K Ga Se O
4 4 8 24
Direct
0.109 0.250 0.067
0.391 0.750 0.567
0.609 0.250 0.433
0.891 0.750 0.933
0.129 0.750 0.687
0.371 0.250 0.187
0.629 0.750 0.813
0.871 0.250 0.313
0.024 0.250 0.613
0.225 0.250 0.492
0.275 0.750 0.992
0.476 0.750 0.113
0.524 0.250 0.887
0.725 0.250 0.008
0.775 0.750 0.508
0.976 0.750 0.387
0.034 0.003 0.758
0.034 0.497 0.758
0.089 0.750 0.430
0.163 0.750 0.942
0.223 0.004 0.639
0.223 0.496 0.639
0.277 0.504 0.139
0.277 0.996 0.139
0.337 0.250 0.442
0.411 0.250 0.930
0.466 0.503 0.258
0.466 0.997 0.258
0.534 0.003 0.742
0.534 0.497 0.742
0.589 0.750 0.070
0.663 0.750 0.558
0.723 0.004 0.861
0.723 0.496 0.861
0.777 0.504 0.361
0.777 0.996 0.361
0.837 0.250 0.058
0.911 0.250 0.570
0.966 0.503 0.242
0.966 0.997 0.242
```

=====

No. 2
# KGa3Se4O12
Computed powder diffraction line list, Cu Kα. Input: a DFT-relaxed cell (GGA-PBE, Alexandria).

Main lines, by intensity (10 to 90 degrees two-theta):
29.2 deg, I = 100.0; 37.0 deg, I = 51.8; 28.0 deg, I = 40.4; 48.7 deg, I = 37.3; 63.4 deg, I = 24.4; 54.9 deg, I = 18.6; 68.8 deg, I = 14.3; 62.7 deg, I = 12.9; 33.9 deg, I = 11.8; 14.5 deg, I = 9.5

Cell and atoms:
```
KGa3Se4O12
1.0
5.293 3.056 2.729
-5.293 3.056 2.729
0.000 -6.112 2.729
K Ga Se O
1 3 4 12
Direct
0.000 0.000 0.000
0.000 0.566 0.434
0.434 0.000 0.566
0.566 0.434 0.000
0.097 0.500 0.903
0.500 0.500 0.500
0.500 0.903 0.097
0.903 0.097 0.500
0.066 0.934 0.500
0.067 0.294 0.395
0.294 0.395 0.067
0.306 0.694 0.500
0.395 0.067 0.294
0.500 0.066 0.934
0.500 0.306 0.694
0.605 0.706 0.933
0.694 0.500 0.306
0.706 0.933 0.605
0.933 0.605 0.706
0.934 0.500 0.066
```

=====

No. 3
# KGaSiO4
Computed powder diffraction line list, Cu Kα. Input: a DFT-relaxed cell (GGA-PBE, Alexandria).

Main lines, by intensity (10 to 90 degrees two-theta):
10.8 deg, I = 100.0; 19.8 deg, I = 78.0; 20.5 deg, I = 75.2; 31.9 deg, I = 60.1; 32.9 deg, I = 57.6; 33.3 deg, I = 47.5; 21.8 deg, I = 47.4; 23.7 deg, I = 34.9; 16.9 deg, I = 33.8; 40.2 deg, I = 28.3

Cell and atoms:
```
KGaSiO4
1.0
5.249 0.000 0.000
0.000 5.373 0.000
-0.328 0.000 8.168
K Ga Si O
2 2 2 8
Direct
0.242 0.250 0.002
0.758 0.750 0.998
0.133 0.250 0.520
0.867 0.750 0.480
0.294 0.750 0.282
0.706 0.250 0.718
0.125 0.521 0.369
0.125 0.979 0.369
0.259 0.750 0.088
0.408 0.250 0.660
0.592 0.750 0.340
0.741 0.250 0.912
0.875 0.021 0.631
0.875 0.479 0.631
```

=====

No. 4
# K3TmGa2O6
Computed powder diffraction line list, Cu Kα. Input: a DFT-relaxed cell (GGA-PBE, Alexandria).

Main lines, by intensity (10 to 90 degrees two-theta):
30.4 deg, I = 100.0; 29.3 deg, I = 94.4; 12.5 deg, I = 58.3; 42.7 deg, I = 49.5; 21.0 deg, I = 46.3; 52.7 deg, I = 42.2; 52.0 deg, I = 30.5; 16.8 deg, I = 28.4; 60.8 deg, I = 28.2; 32.0 deg, I = 24.0

Cell and atoms:
```
K3TmGa2O6
1.0
6.090 0.000 0.000
-3.045 5.275 0.000
0.000 0.000 7.094
K Tm Ga O
3 1 2 6
Direct
0.000 0.000 0.000
0.333 0.667 0.749
0.667 0.333 0.251
0.000 0.000 0.500
0.333 0.667 0.299
0.667 0.333 0.701
0.164 0.329 0.298
0.164 0.836 0.298
0.329 0.164 0.702
0.671 0.836 0.298
0.836 0.164 0.702
0.836 0.671 0.702
```

=====

No. 5
# K2ZrGa2O6
Computed powder diffraction line list, Cu Kα. Input: a DFT-relaxed cell (GGA-PBE, Alexandria).

Main lines, by intensity (10 to 90 degrees two-theta):
13.9 deg, I = 100.0; 44.1 deg, I = 89.6; 33.3 deg, I = 60.0; 28.0 deg, I = 31.2; 36.3 deg, I = 30.6; 59.5 deg, I = 22.8; 68.5 deg, I = 21.5; 55.1 deg, I = 15.9; 67.1 deg, I = 15.4; 77.0 deg, I = 15.0

Cell and atoms:
```
K2ZrGa2O6
1.0
5.379 0.000 0.000
-2.689 4.658 0.000
0.000 0.000 6.365
K Zr Ga O
2 1 2 6
Direct
0.333 0.667 0.000
0.667 0.333 0.000
0.000 0.000 0.500
0.333 0.667 0.500
0.667 0.333 0.500
0.000 0.347 0.333
0.000 0.653 0.667
0.347 0.000 0.333
0.347 0.347 0.667
0.653 0.000 0.667
0.653 0.653 0.333
```

=====

No. 6
# K2Ga2P3
Computed powder diffraction line list, Cu Kα. Input: a DFT-relaxed cell (GGA-PBE, Alexandria).

Main lines, by intensity (10 to 90 degrees two-theta):
12.1 deg, I = 100.0; 33.8 deg, I = 82.0; 25.6 deg, I = 64.6; 31.1 deg, I = 47.5; 28.5 deg, I = 36.2; 43.9 deg, I = 33.9; 26.0 deg, I = 31.0; 27.5 deg, I = 26.5; 25.8 deg, I = 21.6; 55.3 deg, I = 20.6

Cell and atoms:
```
K2Ga2P3
1.0
8.033 -7.174 0.000
8.033 7.174 0.000
-2.810 0.000 6.261
K Ga P
8 8 12
Direct
0.071 0.929 0.750
0.208 0.792 0.250
0.310 0.487 0.870
0.487 0.310 0.370
0.513 0.690 0.630
0.690 0.513 0.130
0.792 0.208 0.750
0.929 0.071 0.250
0.021 0.594 0.373
0.153 0.293 0.139
0.293 0.153 0.639
0.406 0.979 0.127
0.594 0.021 0.873
0.707 0.847 0.361
0.847 0.707 0.861
0.979 0.406 0.627
0.040 0.631 0.744
0.099 0.233 0.755
0.233 0.099 0.255
0.235 0.507 0.343
0.369 0.960 0.756
0.493 0.765 0.157
0.507 0.235 0.843
0.631 0.040 0.244
0.765 0.493 0.657
0.767 0.901 0.745
0.901 0.767 0.245
0.960 0.369 0.256
```

=====

No. 7
# K4Rb2GaP2
Computed powder diffraction line list, Cu Kα. Input: a DFT-relaxed cell (GGA-PBE, Alexandria).

Main lines, by intensity (10 to 90 degrees two-theta):
26.0 deg, I = 100.0; 10.1 deg, I = 97.8; 23.8 deg, I = 62.1; 24.5 deg, I = 55.5; 35.4 deg, I = 30.9; 23.5 deg, I = 25.1; 44.2 deg, I = 21.6; 36.2 deg, I = 20.8; 20.6 deg, I = 20.1; 45.5 deg, I = 17.8

Cell and atoms:
```
K4Rb2GaP2
1.0
11.339 -4.721 0.000
11.339 4.721 0.000
-0.007 0.000 4.963
K Rb Ga P
4 2 1 2
Direct
0.126 0.675 0.501
0.325 0.874 0.499
0.675 0.126 0.501
0.874 0.325 0.499
0.245 0.245 0.000
0.755 0.755 0.000
0.000 0.000 0.000
0.096 0.096 0.999
0.904 0.904 0.001
```

=====

No. 8
# K3Pa3GaTe8
Computed powder diffraction line list, Cu Kα. Input: a DFT-relaxed cell (GGA-PBE, Alexandria).

Main lines, by intensity (10 to 90 degrees two-theta):
27.0 deg, I = 100.0; 10.7 deg, I = 66.2; 39.9 deg, I = 37.6; 37.1 deg, I = 34.1; 34.2 deg, I = 25.3; 48.8 deg, I = 19.4; 46.6 deg, I = 17.6; 64.8 deg, I = 16.3; 41.4 deg, I = 16.2; 23.0 deg, I = 12.6

Cell and atoms:
```
K3Pa3GaTe8
1.0
4.520 2.610 8.238
-4.520 2.610 8.238
0.000 -5.219 8.238
K Pa Ga Te
3 3 1 8
Direct
0.000 0.500 0.500
0.500 0.000 0.500
0.500 0.500 0.000
0.000 0.000 0.500
0.000 0.500 0.000
0.500 0.000 0.000
0.500 0.500 0.500
0.223 0.740 0.740
0.238 0.238 0.238
0.260 0.260 0.777
0.260 0.777 0.260
0.740 0.223 0.740
0.740 0.740 0.223
0.762 0.762 0.762
0.777 0.260 0.260
```